Starting from a DFT-relaxed cell (GGA-PBE, the Materials Project), the powder diffraction line list of Pr2GaAg was calculated for Cu Kα.

Atomic structure:
```
data_Pr2GaAg
_chemical_formula_sum 'Pr8 Ga4 Ag4'
_cell_length_a 7.532
_cell_length_b 7.532
_cell_length_c 7.532
_cell_angle_alpha 90.00
_cell_angle_beta 90.00
_cell_angle_gamma 90.00
_symmetry_space_group_name_H-M 'F m -3 m'
_symmetry_Int_Tables_number 225
_symmetry_space_group_name_Hall '-F 4 2 3'
loop_
_atom_site_label
_atom_site_type_symbol
_atom_site_fract_x
_atom_site_fract_y
_atom_site_fract_z
Pr1 Pr 0.250 0.250 0.250
Ga1 Ga 0.000 0.000 0.000
Ag1 Ag 0.000 0.000 0.500
```

Most intense lines, 15 to 90 degrees two-theta, in order of rising 2θ:
d_spacing, I (rel.), hkl
4.349, 2, 1 1 1
3.766, 5, 2 0 0
2.663, 100, 2 2 0
2.174, 2, 2 2 2
1.883, 18, 4 0 0
1.684, 2, 4 2 0
1.538, 36, 4 2 2
1.332, 11, 4 4 0
1.255, 1, 6 0 0
1.191, 16, 6 2 0